Simulated XRD peak list
Compound: Nd5Ho2Sc2
Radiation: Cu Kα X-rays
Structure: a structure optimized by DFT (GGA-PBE)
Peak positions follow from Bragg's law for the DFT cell and can differ from measured ones.

Atomic structure:
```
data_Nd5Ho2Sc2
_chemical_formula_sum 'Nd20 Ho8 Sc8'
_space_group_name_H-M_alt 'C 1 2 1'
_space_group_IT_number 5
_cell_length_a 17.7003
_cell_length_b 6.3862
_cell_length_c 11.4241
_cell_angle_alpha 90.00
_cell_angle_beta 116.38
_cell_angle_gamma 90.00
loop_
_space_group_symop_operation_xyz
'x,y,z'
'-x,y,-z'
'x+1/2,y+1/2,z'
'-x+1/2,y+1/2,-z'
loop_
_atom_site_label
_atom_site_fract_x
_atom_site_fract_y
_atom_site_fract_z
_atom_site_occupancy
Nd1 0.0093 0.0000 0.2472 1
Nd2 0.0901 0.4983 0.3231 1
Nd3 0.1182 0.4539 0.8129 1
Nd4 0.1978 0.9049 0.9244 1
Nd5 0.2254 0.1005 0.4171 1
Ho1 0.0000 0.3002 0.5000 1
Ho2 0.0000 0.6694 0.0000 1
Ho3 0.2225 0.6884 0.2277 1
Sc1 0.1020 0.8410 0.5822 1
Sc2 0.1122 0.2052 0.0840 1
```

Most intense lines, 2θ = 10–80°, by angle:
| d/Å | two_theta | I (rel.) | hkl |
| --- | --- | --- | --- |
| 5.555 | 15.95 | 36 | 2 0 -2 |
| 3.212 | 27.78 | 24 | 3 1 -3 |
| 3.070 | 29.09 | 26 | 5 1 -1 |
| 2.980 | 29.98 | 36 | 2 2 -1 |
| 2.840 | 31.50 | 26 | 5 1 0 |
| 2.787 | 32.12 | 38 | 4 0 -4 |
| 2.769 | 32.34 | 100 | 2 2 -2 |
| 2.759 | 32.45 | 66 | 3 1 2 |
| 2.490 | 36.07 | 17 | 4 2 0 |
| 2.351 | 38.28 | 23 | 7 1 -2 |

***

Simulated XRD peak list
Compound: Nd8HoSc3
Radiation: Cu Kα X-rays
Structure: a structure optimized by DFT (GGA-PBE)
Peak positions follow from Bragg's law for the DFT cell and can differ from measured ones.

Atomic structure:
```
data_Nd8HoSc3
_chemical_formula_sum 'Nd16 Ho2 Sc6'
_space_group_name_H-M_alt 'I m m m'
_space_group_IT_number 71
_space_group_name_Hall '-I 2 2'
_cell_length_a 6.7842
_cell_length_b 10.8107
_cell_length_c 11.5224
_cell_angle_alpha 90.00
_cell_angle_beta 90.00
_cell_angle_gamma 90.00
loop_
_atom_site_label
_atom_site_fract_x
_atom_site_fract_y
_atom_site_fract_z
_atom_site_occupancy
Nd1 0.0000 0.1642 0.2480 1
Nd2 0.2233 0.2872 0.5000 1
Ho1 0.0000 0.0000 0.5000 1
Sc1 0.0000 0.0000 0.0000 1
Sc2 0.0000 0.5000 0.2860 1
```

Most intense lines, 2θ = 10–80°, by angle:
| d/Å | two_theta | I (rel.) | hkl |
| --- | --- | --- | --- |
| 5.846 | 15.16 | 18 | 1 0 1 |
| 5.747 | 15.42 | 54 | 1 1 0 |
| 5.405 | 16.40 | 35 | 0 2 0 |
| 3.439 | 25.91 | 23 | 0 3 1 |
| 2.923 | 30.58 | 66 | 2 0 2 |
| 2.879 | 31.06 | 81 | 0 0 4 |
| 2.786 | 32.13 | 100 | 1 3 2 |
| 2.572 | 34.88 | 90 | 2 2 2 |
| 2.448 | 36.72 | 28 | 0 4 2 |
| 1.596 | 57.76 | 27 | 2 2 6 |